Computed X-ray powder pattern
Compound: MgZn2FeWO6
Radiation: Cu Kα (λ = 1.5418 Å)
Structure: a PBE+U-relaxed structure
No peak broadening, texture or thermal motion is included.

The 12 most intense peaks (2θ = 5–70°), in order of rising 2θ:
19.88 deg, I 100, (1 0 0); 20.49 deg, I 55, (1 1 1); 29.65 deg, I 54, (1 0 -1); 30.09 deg, I 55, (0 1 -1); 31.15 deg, I 46, (1 1 2); 33.38 deg, I 90, (1 -1 0); 33.50 deg, I 89, (1 2 1); 33.98 deg, I 78, (2 1 1); 34.34 deg, I 62, (1 1 -1); 35.10 deg, I 64, (0 1 2); 35.92 deg, I 57, (1 0 2); 48.40 deg, I 41, (2 0 -1)

Cell and atoms:
a b c (Å): 5.2844 5.3543 5.8321
angles (deg): 64.77 66.18 60.63
Space group P1 (No. 1)
Asymmetric unit:
Mg1 0.0000 0.0000 0.0000 (multiplicity 1)
Zn1 0.4109 0.4065 0.7545 (multiplicity 1)
Zn2 0.8326 0.8314 0.5104 (multiplicity 1)
Fe1 0.2014 0.1877 0.4333 (multiplicity 1)
W1 0.6446 0.6417 0.0603 (multiplicity 1)
O1 0.0296 0.7440 0.7979 (multiplicity 1)
O2 0.2508 0.5961 0.2705 (multiplicity 1)
O3 0.4036 0.0392 0.7700 (multiplicity 1)
O4 0.6158 0.8996 0.2507 (multiplicity 1)
O5 0.7561 0.4170 0.7885 (multiplicity 1)
O6 0.9115 0.2216 0.2720 (multiplicity 1)

***

Computed X-ray powder pattern
Compound: MgTiFeP3O12
Radiation: Cu Kα (λ = 1.5418 Å)
Structure: a PBE+U-relaxed structure
No peak broadening, texture or thermal motion is included.

The 12 most intense peaks (2θ = 5–70°), in order of rising 2θ:
20.60 deg, I 44, (1 1 0); 20.89 deg, I 23, (1 0 4); 24.35 deg, I 100, (1 1 3); 29.50 deg, I 17, (0 2 4); 32.01 deg, I 15, (2 1 1); 33.26 deg, I 44, (1 1 6); 36.09 deg, I 23, (3 0 0); 47.69 deg, I 19, (1 2 8); 49.89 deg, I 17, (2 2 6); 56.48 deg, I 15, (4 1 0); 56.96 deg, I 9, (3 1 8); 63.10 deg, I 12, (4 1 6)

Cell and atoms:
a b c (Å): 8.6214 8.6214 20.6994
angles (deg): 90.00 90.00 120.00
Space group R3c (No. 161, hexagonal axes)
Asymmetric unit:
Mg1 0.0000 0.0000 0.0000 (multiplicity 6)
Ti1 0.0000 0.0000 0.3535 (multiplicity 6)
Fe1 0.0000 0.0000 0.1426 (multiplicity 6)
P1 0.9999 0.2953 0.2472 (multiplicity 18)
O1 0.0041 0.1902 0.3081 (multiplicity 18)
O2 0.0208 0.1836 0.9233 (multiplicity 18)
O3 0.1411 0.4662 0.8535 (multiplicity 18)
O4 0.1661 0.4836 0.2404 (multiplicity 18)